Diffraction record for Ag8ClO5. The powder diffractogram is theoretical, not measured: it uses a cell relaxed with PBE and copper Kα.
No peak broadening, texture or thermal motion is included.

Main lines, low angle first (2θ from 10° to 80°):
d [Å], two_theta, intensity
5.710, 15.52, 8
2.855, 31.33, 100
2.472, 36.34, 59
2.269, 39.73, 6
2.019, 44.90, 6
1.903, 47.79, 13
1.748, 52.33, 43
1.491, 62.27, 30
1.427, 65.38, 10
1.385, 67.66, 6

Cell lengths 6.993, 6.993, 6.993 Å; angles 60.00, 60.00, 60.00 degrees
Sites, in units of the cell vectors:
Ag  0.105  0.105  0.105
Ag  0.105  0.105  0.686
Ag  0.105  0.686  0.105
Ag  0.115  0.628  0.628
Ag  0.628  0.115  0.628
Ag  0.628  0.628  0.115
Ag  0.628  0.628  0.628
Ag  0.686  0.105  0.105
Cl  0.250  0.250  0.250
O  0.398  0.867  0.867
O  0.500  0.500  0.500
O  0.867  0.398  0.867
O  0.867  0.867  0.398
O  0.867  0.867  0.867